Structure and calculated XRD peak list of AlInTe4Au2 (a crystal structure in OQMD, relaxed with GGA-PBE; Cu Ka).
No peak broadening, texture or thermal motion is included.

Most intense lines, 2θ from 10° to 90°, by angle:
2θ/deg  intensity  (hkl)
15.51  16  1 0 1
24.16  100  1 1 2
32.07  7  1 2 1
39.86  27  2 2 0
40.01  53  2 0 4
47.15  33  3 1 2
47.42  16  1 1 6
57.64  9  4 0 0
63.62  13  1 3 6
72.47  18  4 2 4
72.78  9  2 2 8
77.56  7  1 5 2

Structure:
```
data_AlInTe4Au2
_chemical_formula_sum 'Al2 In2 Te8 Au4'
_symmetry_space_group_name_H-M 'I -4'
_symmetry_Int_Tables_number 82
_symmetry_space_group_name_Hall 'I -4'
_cell_length_a 6.397
_cell_length_b 6.397
_cell_length_c 12.700
_cell_angle_alpha 90.00
_cell_angle_beta 90.00
_cell_angle_gamma 90.00
loop_
_atom_site_label
_atom_site_fract_x
_atom_site_fract_y
_atom_site_fract_z
_atom_site_occupancy
Al1 0.000 0.000 0.000 1
In1 0.000 0.500 0.250 1
Te1 0.237 0.750 0.881 1
Au1 0.000 0.000 0.500 1
Au2 0.000 0.500 0.750 1
```